Calculated XRD peak list of Li3NdBi3 for Cu Kα (λ = 1.5418 Å), from a crystal structure in Alexandria, relaxed with GGA-PBE.
Lines closer than 0.1° are merged.

Structural model:
a b c (Å): 7.594 7.594 7.594
angles (deg): 74.64 74.64 74.64
Element x y z (fractional)
Li: 0.171 0.428 0.666
Li: 0.334 0.829 0.572
Li: 0.428 0.666 0.171
Li: 0.572 0.334 0.829
Li: 0.666 0.171 0.428
Li: 0.829 0.572 0.334
Nd: 0.212 0.212 0.212
Nd: 0.788 0.788 0.788
Bi: 0.043 0.833 0.372
Bi: 0.167 0.628 0.957
Bi: 0.372 0.043 0.833
Bi: 0.628 0.957 0.167
Bi: 0.833 0.372 0.043
Bi: 0.957 0.167 0.628

Largest 10 diffraction maxima, by intensity, 15 to 90 degrees two-theta:
2θ 25.4, 3.510 Å, I = 100
2θ 31.7, 2.826 Å, I = 56
2θ 37.1, 2.422 Å, I = 33
2θ 33.7, 2.658 Å, I = 25
2θ 33.0, 2.711 Å, I = 20
2θ 23.0, 3.873 Å, I = 19
2θ 35.6, 2.521 Å, I = 19
2θ 41.2, 2.192 Å, I = 17
2θ 57.8, 1.595 Å, I = 13
2θ 54.5, 1.682 Å, I = 13


Calculated XRD peak list of Mn2BeFe5B2 for Cu Kα (λ = 1.5418 Å), from a crystal structure in Alexandria, relaxed with GGA-PBE.
Lines closer than 0.1° are merged.

Structural model:
a b c (Å): 8.299 8.299 2.762
angles (deg): 90.00 90.00 90.00
Element x y z (fractional)
Mn: 0.175 0.325 0.000
Mn: 0.325 0.825 0.000
Mn: 0.675 0.175 0.000
Mn: 0.825 0.675 0.000
Be: 0.000 0.000 0.000
Be: 0.500 0.500 0.000
Fe: 0.000 0.500 0.500
Fe: 0.065 0.794 0.500
Fe: 0.206 0.065 0.500
Fe: 0.294 0.565 0.500
Fe: 0.435 0.294 0.500
Fe: 0.500 0.000 0.500
Fe: 0.565 0.706 0.500
Fe: 0.706 0.435 0.500
Fe: 0.794 0.935 0.500
Fe: 0.935 0.206 0.500
B: 0.128 0.628 0.000
B: 0.372 0.128 0.000
B: 0.628 0.872 0.000
B: 0.872 0.372 0.000

Largest 10 diffraction maxima, by intensity, 15 to 90 degrees two-theta:
2θ 45.0, 2.012 Å, I = 100
2θ 47.8, 1.903 Å, I = 78
2θ 40.7, 2.216 Å, I = 57
2θ 39.2, 2.300 Å, I = 37
2θ 51.7, 1.768 Å, I = 33
2θ 46.4, 1.956 Å, I = 31
2θ 82.1, 1.173 Å, I = 26
2θ 32.4, 2.762 Å, I = 22
2θ 85.2, 1.139 Å, I = 21
2θ 81.2, 1.185 Å, I = 19


Calculated XRD peak list of Th2TaRhN5 for Cu Kα (λ = 1.5418 Å), from a crystal structure in Alexandria, relaxed with GGA-PBE.
Lines closer than 0.1° are merged.

Structural model:
a b c (Å): 6.897 6.897 10.646
angles (deg): 90.00 90.00 152.10
Element x y z (fractional)
Th: 0.103 0.897 0.500
Th: 0.143 0.857 0.124
Th: 0.857 0.143 0.624
Th: 0.897 0.103 0.000
Ta: 0.201 0.799 0.832
Ta: 0.799 0.201 0.332
Rh: 0.471 0.529 0.273
Rh: 0.529 0.471 0.773
N: 0.058 0.942 0.893
N: 0.280 0.720 0.466
N: 0.319 0.681 0.196
N: 0.363 0.637 0.814
N: 0.488 0.512 0.589
N: 0.512 0.488 0.089
N: 0.637 0.363 0.314
N: 0.681 0.319 0.696
N: 0.720 0.280 0.966
N: 0.942 0.058 0.393

Largest 10 diffraction maxima, by intensity, 15 to 90 degrees two-theta:
2θ 28.5, 3.135 Å, I = 100
2θ 37.7, 2.387 Å, I = 87
2θ 33.6, 2.666 Å, I = 69
2θ 32.4, 2.760 Å, I = 44
2θ 31.6, 2.833 Å, I = 44
2θ 55.2, 1.663 Å, I = 40
2θ 34.7, 2.587 Å, I = 34
2θ 27.6, 3.227 Å, I = 26
2θ 41.3, 2.184 Å, I = 26
2θ 27.9, 3.193 Å, I = 26


Calculated XRD peak list of ErSc3Ni8 for Cu Kα (λ = 1.5418 Å), from a crystal structure in Alexandria, relaxed with GGA-PBE.
Lines closer than 0.1° are merged.

Structural model:
a b c (Å): 4.939 4.939 8.034
angles (deg): 90.00 90.00 120.00
Element x y z (fractional)
Er: 0.000 0.000 0.000
Sc: 0.000 0.000 0.378
Sc: 0.667 0.333 0.495
Sc: 0.667 0.333 0.862
Ni: 0.166 0.332 0.682
Ni: 0.166 0.834 0.682
Ni: 0.333 0.667 0.434
Ni: 0.333 0.667 0.934
Ni: 0.502 0.003 0.188
Ni: 0.502 0.498 0.188
Ni: 0.668 0.834 0.682
Ni: 0.997 0.498 0.188

Largest 10 diffraction maxima, by intensity, 15 to 90 degrees two-theta:
2θ 43.0, 2.104 Å, I = 100
2θ 43.8, 2.067 Å, I = 87
2θ 39.7, 2.270 Å, I = 73
2θ 36.4, 2.470 Å, I = 32
2θ 23.6, 3.776 Å, I = 28
2θ 67.7, 1.384 Å, I = 28
2θ 73.8, 1.285 Å, I = 27
2θ 77.3, 1.235 Å, I = 24
2θ 70.0, 1.344 Å, I = 22
2θ 48.2, 1.888 Å, I = 20


Calculated XRD peak list of Na3SnPb3 for Cu Kα (λ = 1.5418 Å), from a crystal structure in Alexandria, relaxed with GGA-PBE.
Lines closer than 0.1° are merged.

Structural model:
a b c (Å): 9.210 9.210 5.504
angles (deg): 90.00 90.00 120.00
Element x y z (fractional)
Na: 0.100 0.486 0.250
Na: 0.386 0.900 0.250
Na: 0.486 0.386 0.750
Na: 0.514 0.614 0.250
Na: 0.614 0.100 0.750
Na: 0.900 0.514 0.750
Sn: 0.333 0.667 0.750
Sn: 0.667 0.333 0.250
Pb: 0.075 0.256 0.750
Pb: 0.181 0.925 0.750
Pb: 0.256 0.181 0.250
Pb: 0.744 0.819 0.750
Pb: 0.819 0.075 0.250
Pb: 0.925 0.744 0.250

Largest 10 diffraction maxima, by intensity, 15 to 90 degrees two-theta:
2θ 33.9, 2.644 Å, I = 100
2θ 29.6, 3.015 Å, I = 27
2θ 32.5, 2.752 Å, I = 27
2θ 58.9, 1.567 Å, I = 21
2θ 63.2, 1.471 Å, I = 20
2θ 27.6, 3.229 Å, I = 20
2θ 19.6, 4.530 Å, I = 19
2θ 22.3, 3.988 Å, I = 18
2θ 44.6, 2.032 Å, I = 18
2θ 25.2, 3.532 Å, I = 18


Calculated XRD peak list of Cs2K13 for Cu Kα (λ = 1.5418 Å), from a crystal structure in Alexandria, relaxed with GGA-PBE.
Lines closer than 0.1° are merged.

Structural model:
a b c (Å): 13.210 13.210 13.210
angles (deg): 55.78 55.78 55.78
Element x y z (fractional)
Cs: 0.242 0.242 0.242
Cs: 0.758 0.758 0.758
K: 0.000 0.000 0.000
K: 0.012 0.012 0.650
K: 0.012 0.650 0.012
K: 0.240 0.240 0.616
K: 0.240 0.616 0.240
K: 0.350 0.988 0.988
K: 0.384 0.760 0.760
K: 0.616 0.240 0.240
K: 0.650 0.012 0.012
K: 0.760 0.384 0.760
K: 0.760 0.760 0.384
K: 0.988 0.350 0.988
K: 0.988 0.988 0.350

Largest 10 diffraction maxima, by intensity, 15 to 90 degrees two-theta:
2θ 24.5, 3.640 Å, I = 100
2θ 22.9, 3.885 Å, I = 53
2θ 19.7, 4.504 Å, I = 34
2θ 26.2, 3.397 Å, I = 27
2θ 28.9, 3.089 Å, I = 26
2θ 25.8, 3.459 Å, I = 26
2θ 42.7, 2.116 Å, I = 25
2θ 17.4, 5.096 Å, I = 21
2θ 22.6, 3.931 Å, I = 21
2θ 41.2, 2.192 Å, I = 20


Calculated XRD peak list of Cs2UTe4Pd for Cu Kα (λ = 1.5418 Å), from a crystal structure in Alexandria, relaxed with GGA-PBE.
Lines closer than 0.1° are merged.

Structural model:
a b c (Å): 15.947 14.284 8.563
angles (deg): 84.60 63.09 32.31
Element x y z (fractional)
Cs: 0.055 0.055 0.695
Cs: 0.305 0.305 0.945
Cs: 0.695 0.695 0.055
Cs: 0.945 0.945 0.305
U: 0.125 0.125 0.125
U: 0.875 0.875 0.875
Te: 0.013 0.343 0.444
Te: 0.301 0.556 0.657
Te: 0.343 0.013 0.699
Te: 0.444 0.699 0.013
Te: 0.556 0.301 0.987
Te: 0.657 0.987 0.301
Te: 0.699 0.444 0.343
Te: 0.987 0.657 0.556
Pd: 0.375 0.375 0.375
Pd: 0.625 0.625 0.625

Largest 10 diffraction maxima, by intensity, 15 to 90 degrees two-theta:
2θ 26.8, 3.323 Å, I = 100
2θ 22.3, 3.986 Å, I = 67
2θ 23.5, 3.785 Å, I = 60
2θ 32.7, 2.736 Å, I = 58
2θ 21.7, 4.103 Å, I = 44
2θ 43.6, 2.075 Å, I = 43
2θ 35.5, 2.526 Å, I = 39
2θ 42.1, 2.148 Å, I = 39
2θ 28.6, 3.116 Å, I = 30
2θ 39.5, 2.280 Å, I = 30


Calculated XRD peak list of La2CrB for Cu Kα (λ = 1.5418 Å), from a crystal structure in Alexandria, relaxed with GGA-PBE.
Lines closer than 0.1° are merged.

Structural model:
a b c (Å): 7.491 7.491 7.491
angles (deg): 94.26 94.26 148.38
Element x y z (fractional)
La: 0.375 0.212 0.337
La: 0.788 0.125 0.163
La: 0.875 0.038 0.663
La: 0.962 0.625 0.837
Cr: 0.250 0.750 0.500
Cr: 0.500 0.500 0.000
B: 0.000 0.000 0.000
B: 0.750 0.250 0.500

Largest 10 diffraction maxima, by intensity, 15 to 90 degrees two-theta:
2θ 29.4, 3.041 Å, I = 100
2θ 27.7, 3.223 Å, I = 68
2θ 39.5, 2.279 Å, I = 25
2θ 38.7, 2.324 Å, I = 20
2θ 42.8, 2.115 Å, I = 19
2θ 23.5, 3.789 Å, I = 17
2θ 50.0, 1.824 Å, I = 16
2θ 59.4, 1.555 Å, I = 14
2θ 48.0, 1.895 Å, I = 14
2θ 53.4, 1.717 Å, I = 12


Calculated XRD peak list of La3Sm3DyS8 for Cu Kα (λ = 1.5418 Å), from a crystal structure in Alexandria, relaxed with GGA-PBE.
Lines closer than 0.1° are merged.

Structural model:
a b c (Å): 8.179 8.179 8.179
angles (deg): 59.21 59.21 59.21
Element x y z (fractional)
La: 0.000 0.500 0.500
La: 0.500 0.000 0.500
La: 0.500 0.500 0.000
Sm: 0.000 0.000 0.500
Sm: 0.000 0.500 0.000
Sm: 0.500 0.000 0.000
Dy: 0.500 0.500 0.500
S: 0.247 0.247 0.247
S: 0.252 0.742 0.742
S: 0.258 0.258 0.748
S: 0.258 0.748 0.258
S: 0.742 0.252 0.742
S: 0.742 0.742 0.252
S: 0.748 0.258 0.258
S: 0.753 0.753 0.753

Largest 10 diffraction maxima, by intensity, 15 to 90 degrees two-theta:
2θ 31.1, 2.874 Å, I = 100
2θ 27.0, 3.306 Å, I = 48
2θ 44.3, 2.044 Å, I = 37
2θ 44.9, 2.020 Å, I = 36
2θ 55.6, 1.653 Å, I = 19
2θ 26.5, 3.359 Å, I = 17
2θ 52.9, 1.731 Å, I = 16
2θ 73.3, 1.291 Å, I = 16
2θ 74.1, 1.279 Å, I = 16
2θ 82.3, 1.171 Å, I = 12


Calculated XRD peak list of Tb2Ge3Ir5 for Cu Kα (λ = 1.5418 Å), from a crystal structure in Alexandria, relaxed with GGA-PBE.
Lines closer than 0.1° are merged.

Structural model:
a b c (Å): 12.342 12.342 6.781
angles (deg): 90.00 90.00 160.52
Element x y z (fractional)
Tb: 0.022 0.978 0.500
Tb: 0.325 0.675 0.515
Tb: 0.675 0.325 0.015
Tb: 0.978 0.022 0.000
Ge: 0.111 0.889 0.229
Ge: 0.266 0.734 0.026
Ge: 0.455 0.545 0.295
Ge: 0.545 0.455 0.795
Ge: 0.734 0.266 0.526
Ge: 0.889 0.111 0.729
Ir: 0.100 0.900 0.843
Ir: 0.207 0.793 0.730
Ir: 0.208 0.792 0.329
Ir: 0.368 0.632 0.054
Ir: 0.443 0.557 0.666
Ir: 0.557 0.443 0.166
Ir: 0.632 0.368 0.554
Ir: 0.792 0.208 0.829
Ir: 0.793 0.207 0.230
Ir: 0.900 0.100 0.343

Largest 10 diffraction maxima, by intensity, 15 to 90 degrees two-theta:
2θ 35.9, 2.504 Å, I = 100
2θ 36.1, 2.485 Å, I = 61
2θ 43.3, 2.088 Å, I = 49
2θ 39.7, 2.268 Å, I = 42
2θ 42.7, 2.119 Å, I = 28
2θ 68.9, 1.363 Å, I = 28
2θ 34.3, 2.617 Å, I = 24
2θ 39.3, 2.290 Å, I = 23
2θ 45.9, 1.976 Å, I = 19
2θ 62.5, 1.487 Å, I = 19


Calculated XRD peak list of Mg2Cd17 for Cu Kα (λ = 1.5418 Å), from a crystal structure in Alexandria, relaxed with GGA-PBE.
Lines closer than 0.1° are merged.

Structural model:
a b c (Å): 7.883 7.883 7.883
angles (deg): 77.03 77.03 77.03
Element x y z (fractional)
Mg: 0.201 0.201 0.201
Mg: 0.799 0.799 0.799
Cd: 0.000 0.500 0.500
Cd: 0.126 0.126 0.656
Cd: 0.126 0.656 0.126
Cd: 0.196 0.500 0.804
Cd: 0.196 0.804 0.500
Cd: 0.344 0.874 0.874
Cd: 0.405 0.405 0.405
Cd: 0.500 0.000 0.500
Cd: 0.500 0.196 0.804
Cd: 0.500 0.500 0.000
Cd: 0.500 0.804 0.196
Cd: 0.595 0.595 0.595
Cd: 0.656 0.126 0.126
Cd: 0.804 0.196 0.500
Cd: 0.804 0.500 0.196
Cd: 0.874 0.344 0.874
Cd: 0.874 0.874 0.344

Largest 10 diffraction maxima, by intensity, 15 to 90 degrees two-theta:
2θ 40.3, 2.240 Å, I = 100
2θ 35.7, 2.517 Å, I = 83
2θ 34.5, 2.600 Å, I = 57
2θ 37.6, 2.392 Å, I = 44
2θ 36.6, 2.454 Å, I = 42
2θ 18.1, 4.909 Å, I = 39
2θ 60.3, 1.536 Å, I = 31
2θ 30.3, 2.954 Å, I = 26
2θ 32.7, 2.739 Å, I = 25
2θ 65.9, 1.417 Å, I = 20


Calculated XRD peak list of Dy3Y4Tm5 for Cu Kα (λ = 1.5418 Å), from a crystal structure in Alexandria, relaxed with GGA-PBE.
Lines closer than 0.1° are merged.

Structural model:
a b c (Å): 6.108 7.067 8.637
angles (deg): 89.97 89.96 89.92
Element x y z (fractional)
Dy: 0.000 0.000 0.000
Dy: 0.168 0.249 0.332
Dy: 0.832 0.751 0.668
Y: 0.167 0.751 0.332
Y: 0.332 0.501 0.668
Y: 0.668 0.499 0.332
Y: 0.833 0.249 0.668
Tm: 0.000 0.500 0.000
Tm: 0.334 0.000 0.668
Tm: 0.499 0.249 0.000
Tm: 0.501 0.751 0.000
Tm: 0.666 0.000 0.332

Largest 10 diffraction maxima, by intensity, 15 to 90 degrees two-theta:
2θ 31.0, 2.881 Å, I = 100
2θ 36.0, 2.495 Å, I = 51
2θ 61.7, 1.504 Å, I = 25
2θ 51.8, 1.766 Å, I = 18
2θ 51.9, 1.763 Å, I = 18
2θ 61.6, 1.506 Å, I = 18
2θ 84.7, 1.145 Å, I = 7
2θ 87.4, 1.116 Å, I = 7
2θ 87.5, 1.115 Å, I = 7
2θ 64.6, 1.442 Å, I = 6


Please write out number 3 again, unchanged.
Calculated XRD peak list of Th2TaRhN5 for Cu Kα (λ = 1.5418 Å), from a crystal structure in Alexandria, relaxed with GGA-PBE.
Lines closer than 0.1° are merged.

Structural model:
a b c (Å): 6.897 6.897 10.646
angles (deg): 90.00 90.00 152.10
Element x y z (fractional)
Th: 0.103 0.897 0.500
Th: 0.143 0.857 0.124
Th: 0.857 0.143 0.624
Th: 0.897 0.103 0.000
Ta: 0.201 0.799 0.832
Ta: 0.799 0.201 0.332
Rh: 0.471 0.529 0.273
Rh: 0.529 0.471 0.773
N: 0.058 0.942 0.893
N: 0.280 0.720 0.466
N: 0.319 0.681 0.196
N: 0.363 0.637 0.814
N: 0.488 0.512 0.589
N: 0.512 0.488 0.089
N: 0.637 0.363 0.314
N: 0.681 0.319 0.696
N: 0.720 0.280 0.966
N: 0.942 0.058 0.393

Largest 10 diffraction maxima, by intensity, 15 to 90 degrees two-theta:
2θ 28.5, 3.135 Å, I = 100
2θ 37.7, 2.387 Å, I = 87
2θ 33.6, 2.666 Å, I = 69
2θ 32.4, 2.760 Å, I = 44
2θ 31.6, 2.833 Å, I = 44
2θ 55.2, 1.663 Å, I = 40
2θ 34.7, 2.587 Å, I = 34
2θ 27.6, 3.227 Å, I = 26
2θ 41.3, 2.184 Å, I = 26
2θ 27.9, 3.193 Å, I = 26